# AcCoSbO6
Theoretical PXRD pattern, a wavelength of 1.5418 Å. Input: the GGA+U geometry in Alexandria.

Structure:
Cell: 5.1601 5.1601 5.4220 Å, 90.22 90.22 119.85°
Fractional positions:
1 Ac 0.0000 0.0000 0.0000
2 Co 0.6681 0.3319 0.5000
3 Sb 0.3321 0.6679 0.5000
4 O 0.3843 0.0148 0.7048
5 O 0.3883 0.3764 0.2950
6 O 0.6236 0.6117 0.7050
7 O 0.6247 0.0181 0.2964
8 O 0.9819 0.3753 0.7036
9 O 0.9852 0.6157 0.2952

Peak list (6 most intense, 10° ≤ 2θ ≤ 90°, by angle)
19.85 deg, intensity 18.7; 25.73 deg, intensity 50.0; 25.87 deg, intensity 100.0; 34.74 deg, intensity 43.6; 43.86 deg, intensity 22.2; 48.83 deg, intensity 26.5